# Ba3Ta3N5
Simulated powder XRD pattern, Cu Kα X-rays. Input: the GGA-PBE geometry in the Materials Project.
Intensities are scaled so that the largest is 100.

Atomic structure:
abc: 6.0554 8.5025 9.2417
angles: 110.56 100.57 103.17
Space group P-1 (No. 2)
Asymmetric unit:
Ba  0.1344  0.3190  0.4107
Ba  0.1978  0.1939  0.7618
Ba  0.2582  0.9385  0.1044
Ta  0.1613  0.5029  0.1377
Ta  0.3931  0.8087  0.4641
Ta  0.4213  0.6198  0.8012
N  0.2239  0.2643  0.0842
N  0.2273  0.5699  0.9536
N  0.2747  0.0084  0.4472
N  0.3548  0.7334  0.6461
N  0.4956  0.5983  0.3174

Most intense lines, 10 to 90 degrees two-theta, by intensity:
two_theta	I_rel
29.96	100.0
29.77	94.0
30.48	86.1
31.69	73.1
26.86	54.4
32.55	43.8
34.61	37.7
37.40	35.7
32.43	32.7
52.17	32.5
11.72	29.9
28.54	29.3

---

# BaThN2
Simulated powder XRD pattern, Cu Kα X-rays. Input: the GGA-PBE geometry in the Materials Project.
Intensities are scaled so that the largest is 100.

Atomic structure:
abc: 3.7735 3.7735 12.9165
angles: 90.00 90.00 120.00
Space group P6_3/mmc (No. 194)
Asymmetric unit:
Ba  0.3333  0.6667  0.2500
Th  0.0000  0.0000  0.0000
N  0.3333  0.6667  0.5968

Most intense lines, 10 to 90 degrees two-theta, by intensity:
two_theta	I_rel
30.66	100.0
27.62	29.8
50.79	27.7
56.49	25.8
48.23	25.6
39.22	18.2
34.45	17.2
58.24	16.9
27.29	16.7
28.17	15.5
78.91	14.4
13.71	13.4

---

# Ba3Ti3N5
Simulated powder XRD pattern, Cu Kα X-rays. Input: the GGA-PBE geometry in the Materials Project.
Intensities are scaled so that the largest is 100.

Atomic structure:
abc: 6.1564 7.7775 9.1717
angles: 108.17 101.31 96.87
Space group P-1 (No. 2)
Asymmetric unit:
Ba  0.1460  0.3555  0.3765
Ba  0.1499  0.1605  0.7209
Ba  0.3321  0.9424  0.1218
Ti  0.2019  0.4817  0.0838
Ti  0.3885  0.6027  0.7934
Ti  0.4110  0.8131  0.4686
N  0.1160  0.5567  0.8850
N  0.2938  0.0258  0.4322
N  0.3316  0.2611  0.0468
N  0.3316  0.7142  0.6303
N  0.4552  0.6159  0.2818

Most intense lines, 10 to 90 degrees two-theta, by intensity:
two_theta	I_rel
30.00	100.0
30.18	90.4
31.64	85.6
27.03	69.7
31.04	51.1
34.89	33.0
36.25	32.5
21.12	28.6
30.31	27.1
62.78	25.2
55.56	21.4
36.00	20.1

---

# BaTiN2
Simulated powder XRD pattern, Cu Kα X-rays. Input: the GGA-PBE geometry in the Materials Project.
Intensities are scaled so that the largest is 100.

Atomic structure:
abc: 3.2817 3.2817 12.2595
angles: 90.00 90.00 120.00
Space group P6_3/mmc (No. 194)
Asymmetric unit:
Ba  0.3333  0.6667  0.2500
Ti  0.0000  0.0000  0.0000
N  0.3333  0.6667  0.5882

Most intense lines, 10 to 90 degrees two-theta, by intensity:
two_theta	I_rel
38.59	100.0
32.34	89.4
34.79	82.3
29.14	50.5
14.45	45.2
56.05	35.2
64.41	31.6
49.07	30.3
55.38	27.4
77.71	19.9
70.11	15.8
87.00	15.3

---

# Ba4VN4
Simulated powder XRD pattern, Cu Kα X-rays. Input: the GGA-PBE geometry in the Materials Project.
Intensities are scaled so that the largest is 100.

Atomic structure:
abc: 6.7799 7.2883 9.9665
angles: 69.08 75.35 69.31
Space group P-1 (No. 2)
Asymmetric unit:
Ba  0.0874  0.2450  0.4448
Ba  0.1732  0.1798  0.0272
Ba  0.3894  0.6974  0.8549
Ba  0.4105  0.2956  0.6562
V  0.1775  0.6842  0.2184
N  0.0619  0.0969  0.7852
N  0.1424  0.4936  0.1522
N  0.2453  0.5530  0.4057
N  0.4133  0.7616  0.1043

Most intense lines, 10 to 90 degrees two-theta, by intensity:
two_theta	I_rel
28.72	100.0
28.31	94.5
27.39	91.5
27.68	84.6
26.57	68.0
29.85	57.6
31.10	48.4
38.59	34.6
26.81	30.4
22.35	28.8
39.99	25.4
38.27	24.5

---

# Ba3V3N5
Simulated powder XRD pattern, Cu Kα X-rays. Input: the GGA-PBE geometry in the Materials Project.
Intensities are scaled so that the largest is 100.

Atomic structure:
abc: 5.9898 7.6360 8.9252
angles: 107.79 101.94 96.78
Space group P-1 (No. 2)
Asymmetric unit:
Ba  0.1490  0.1728  0.2211
Ba  0.1485  0.3569  0.8809
Ba  0.3173  0.9315  0.6110
V  0.1905  0.4836  0.5868
V  0.4033  0.6031  0.2954
V  0.4162  0.8184  0.9721
N  0.1289  0.5555  0.3834
N  0.2883  0.0249  0.9297
N  0.3155  0.2597  0.5443
N  0.3474  0.7153  0.1324
N  0.4506  0.6160  0.7897

Most intense lines, 10 to 90 degrees two-theta, by intensity:
two_theta	I_rel
30.54	100.0
32.41	88.9
30.85	82.7
27.98	70.4
31.81	54.7
31.18	37.0
35.89	36.5
37.03	30.3
47.67	23.8
21.66	23.4
21.01	17.5
27.11	17.3